(1)
# Li2P5WO15
Theoretical powder X-ray diffraction pattern, a wavelength of 1.5418 Å. Input: a GGA+U-relaxed structure.
No peak broadening, texture or thermal motion is included.

Largest 6 diffraction maxima, sorted by position, 2θ = 15–90°:
| 2θ (°) | intensity |
| --- | --- |
| 16.52 | 100 |
| 20.24 | 74 |
| 21.44 | 65 |
| 22.12 | 77 |
| 25.25 | 77 |
| 31.43 | 41 |

Crystal structure
Cell lengths 5.3626, 13.5623, 8.9824 Å; angles 90.00, 102.28, 90.00 degrees
Fractional positions:
Li1 0.0539 0.1240 0.0798
Li2 0.0539 0.3760 0.0798
Li3 0.9461 0.6240 0.9202
Li4 0.9461 0.8760 0.9202
P1 0.0069 0.1422 0.5167
P2 0.0069 0.3578 0.5167
P3 0.3356 0.0770 0.8190
P4 0.3356 0.4230 0.8190
P5 0.4579 0.7500 0.9865
P6 0.5421 0.2500 0.0135
P7 0.6644 0.5770 0.1810
P8 0.6644 0.9230 0.1810
P9 0.9931 0.6422 0.4833
P10 0.9931 0.8578 0.4833
W1 0.5000 0.0000 0.5000
W2 0.5000 0.5000 0.5000
O1 0.0664 0.2500 0.4623
O2 0.1369 0.0734 0.4248
O3 0.1369 0.4266 0.4248
O4 0.1453 0.1440 0.6927
O5 0.1453 0.3560 0.6927
O6 0.1882 0.0369 0.9283
O7 0.1882 0.4631 0.9283
O8 0.1961 0.7500 0.8859
O9 0.2755 0.6321 0.4970
O10 0.2755 0.8679 0.4970
O11 0.2999 0.2500 0.0722
O12 0.4566 0.6576 0.1035
O13 0.4566 0.8424 0.1035
O14 0.4769 0.0066 0.7362
O15 0.4769 0.4934 0.7362
O16 0.5231 0.5066 0.2638
O17 0.5231 0.9934 0.2638
O18 0.5434 0.1576 0.8965
O19 0.5434 0.3424 0.8965
O20 0.7001 0.7500 0.9278
O21 0.7245 0.1321 0.5030
O22 0.7245 0.3679 0.5030
O23 0.8039 0.2500 0.1141
O24 0.8118 0.5369 0.0717
O25 0.8118 0.9631 0.0717
O26 0.8547 0.6440 0.3073
O27 0.8547 0.8560 0.3073
O28 0.8631 0.5734 0.5752
O29 0.8631 0.9266 0.5752
O30 0.9336 0.7500 0.5377

(2)
# KFeF4
Theoretical powder X-ray diffraction pattern, a wavelength of 1.5418 Å. Input: a GGA+U-relaxed structure.
No peak broadening, texture or thermal motion is included.

Largest 6 diffraction maxima, sorted by position, 2θ = 15–90°:
| 2θ (°) | intensity |
| --- | --- |
| 23.54 | 100 |
| 26.24 | 33 |
| 27.15 | 95 |
| 28.66 | 46 |
| 33.15 | 32 |
| 45.74 | 39 |

Crystal structure
Cell lengths 12.4599, 7.7291, 7.9342 Å; angles 90.00, 90.00, 90.00 degrees
Fractional positions:
K1 0.0169 0.2500 0.1238
K2 0.0253 0.2500 0.6243
K3 0.4747 0.7500 0.1243
K4 0.4831 0.7500 0.6238
K5 0.5169 0.2500 0.3762
K6 0.5253 0.2500 0.8757
K7 0.9747 0.7500 0.3757
K8 0.9831 0.7500 0.8762
Fe1 0.2490 0.5005 0.3744
Fe2 0.2490 0.9995 0.3744
Fe3 0.2510 0.0005 0.8744
Fe4 0.2510 0.4995 0.8744
Fe5 0.7490 0.5005 0.1256
Fe6 0.7490 0.9995 0.1256
Fe7 0.7510 0.0005 0.6256
Fe8 0.7510 0.4995 0.6256
F1 0.0990 0.0483 0.3687
F2 0.0990 0.4517 0.3687
F3 0.1013 0.0493 0.8805
F4 0.1013 0.4507 0.8805
F5 0.2112 0.7500 0.4017
F6 0.2142 0.7500 0.8444
F7 0.2482 0.0354 0.6244
F8 0.2482 0.4646 0.6244
F9 0.2518 0.5354 0.1244
F10 0.2518 0.9646 0.1244
F11 0.2858 0.2500 0.3444
F12 0.2888 0.2500 0.9017
F13 0.3987 0.5493 0.3805
F14 0.3987 0.9507 0.3805
F15 0.4010 0.5483 0.8687
F16 0.4010 0.9517 0.8687
F17 0.5990 0.0483 0.1313
F18 0.5990 0.4517 0.1313
F19 0.6013 0.0493 0.6195
F20 0.6013 0.4507 0.6195
F21 0.7112 0.7500 0.0983
F22 0.7142 0.7500 0.6556
F23 0.7482 0.0354 0.8756
F24 0.7482 0.4646 0.8756
F25 0.7518 0.5354 0.3756
F26 0.7518 0.9646 0.3756
F27 0.7858 0.2500 0.1556
F28 0.7888 0.2500 0.5983
F29 0.8987 0.5493 0.1195
F30 0.8987 0.9507 0.1195
F31 0.9010 0.5483 0.6313
F32 0.9010 0.9517 0.6313